Entry 1:
Starting from a DFT-relaxed cell (PBE, Alexandria), the powder XRD pattern of K6TeP2 was simulated for a wavelength of 1.5418 Å.
Intensities are scaled so that the largest is 100.

Peak list (10 most intense, 10 to 80 degrees two-theta, sorted by position)
2θ = 14.5°, I = 90.9, (0 1 1)
2θ = 15.0°, I = 84.0, (1 1 -1)
2θ = 20.4°, I = 42.2, (2 1 -1)
2θ = 28.1°, I = 53.3, (3 0 0)
2θ = 28.2°, I = 39.7, (1 2 -2)
2θ = 28.8°, I = 100.0, (0 3 1)
2θ = 29.3°, I = 74.2, (0 2 2)
2θ = 33.3°, I = 37.9, (3 2 0)
2θ = 36.6°, I = 55.0, (2 3 1)
2θ = 37.8°, I = 55.7, (3 3 -1)

Structure:
a b c (Å): 10.086 10.171 8.095
angles (deg): 90.00 109.32 90.00
Space group P2_1/c (No. 14)
Asymmetric unit:
K 0.126 0.213 0.340
K 0.347 0.040 0.053
K 0.364 0.643 0.011
Te 0.000 0.000 0.000
P 0.407 0.154 0.701

=====

Entry 2:
Starting from a DFT-relaxed cell (PBE, Alexandria), the powder XRD pattern of Cs2ZnCdF6 was simulated for a wavelength of 1.5418 Å.
Intensities are scaled so that the largest is 100.

Peak list (10 most intense, 10 to 80 degrees two-theta, sorted by position)
2θ = 17.4°, I = 1.6, (1 1 1)
2θ = 28.6°, I = 100.0, (2 2 0)
2θ = 33.7°, I = 1.7, (3 1 1)
2θ = 35.2°, I = 8.4, (2 2 2)
2θ = 40.9°, I = 35.7, (4 0 0)
2θ = 50.7°, I = 40.4, (4 2 2)
2θ = 59.2°, I = 22.1, (4 4 0)
2θ = 67.0°, I = 17.8, (6 2 0)
2θ = 70.8°, I = 2.5, (6 2 2)
2θ = 74.5°, I = 7.1, (4 4 4)

Structure:
a b c (Å): 8.828 8.828 8.828
angles (deg): 90.00 90.00 90.00
Space group Fm-3m (No. 225)
Asymmetric unit:
Cs 0.250 0.250 0.250
Zn 0.000 0.000 0.000
Cd 0.000 0.000 0.500
F 0.000 0.000 0.239

=====

Entry 3:
Starting from a DFT-relaxed cell (PBE, Alexandria), the powder XRD pattern of K2PbF6 was simulated for a wavelength of 1.5418 Å.
Intensities are scaled so that the largest is 100.

Peak list (10 most intense, 10 to 80 degrees two-theta, sorted by position)
2θ = 16.0°, I = 55.0, (1 0 0)
2θ = 17.0°, I = 100.0, (0 1 1)
2θ = 18.9°, I = 56.9, (1 1 -1)
2θ = 22.5°, I = 50.0, (0 2 0)
2θ = 23.2°, I = 53.0, (1 0 -2)
2θ = 27.3°, I = 48.6, (1 1 1)
2θ = 27.7°, I = 33.6, (1 2 0)
2θ = 30.8°, I = 51.6, (2 1 -1)
2θ = 36.4°, I = 29.6, (1 1 -3)
2θ = 40.8°, I = 31.3, (0 1 3)

Structure:
a b c (Å): 6.262 7.916 7.799
angles (deg): 90.00 117.63 90.00
Space group P2_1/c (No. 14)
Asymmetric unit:
K 0.174 0.047 0.312
Pb 0.500 0.000 0.000
F 0.193 0.140 0.962
F 0.276 0.714 0.424
F 0.406 0.033 0.705

=====

Entry 4:
Starting from a DFT-relaxed cell (PBE, Alexandria), the powder XRD pattern of LiPaTiO5 was simulated for a wavelength of 1.5418 Å.
Intensities are scaled so that the largest is 100.

Peak list (10 most intense, 10 to 80 degrees two-theta, sorted by position)
2θ = 17.3°, I = 34.8, (0 2 0)
2θ = 17.5°, I = 100.0, (1 1 -1)
2θ = 24.4°, I = 65.1, (1 1 1)
2θ = 30.0°, I = 42.2, (0 2 2)
2θ = 30.3°, I = 38.3, (1 3 -1)
2θ = 30.8°, I = 16.5, (2 0 -2)
2θ = 35.1°, I = 34.3, (2 2 0)
2θ = 47.0°, I = 14.3, (2 4 0)
2θ = 50.8°, I = 14.0, (2 2 -4)
2θ = 59.7°, I = 12.8, (3 3 1)

Structure:
a b c (Å): 6.385 10.262 7.918
angles (deg): 90.00 112.69 90.00
Space group C2/c (No. 15)
Asymmetric unit:
Li 0.000 0.026 0.250
Pa 0.250 0.250 0.000
Ti 0.000 0.466 0.250
O 0.000 0.168 0.750
O 0.004 0.357 0.069
O 0.243 0.070 0.159

=====

Entry 5:
Starting from a DFT-relaxed cell (PBE, Alexandria), the powder XRD pattern of Cs4Ac3PaTe8 was simulated for a wavelength of 1.5418 Å.
Intensities are scaled so that the largest is 100.

Peak list (10 most intense, 10 to 80 degrees two-theta, sorted by position)
2θ = 25.1°, I = 100.0, (0 2 4)
2θ = 31.6°, I = 10.9, (0 2 7)
2θ = 34.2°, I = 36.0, (2 0 8)
2θ = 37.3°, I = 37.7, (2 2 0)
2θ = 42.8°, I = 7.4, (2 0 11)
2θ = 45.4°, I = 20.0, (4 0 4)
2θ = 51.5°, I = 11.2, (0 4 8)
2θ = 55.9°, I = 12.2, (2 2 12)
2θ = 60.2°, I = 17.1, (2 4 4)
2θ = 65.2°, I = 10.9, (4 2 8)

Structure:
a b c (Å): 9.6534 9.6534 26.9497
angles (deg): 90.00 90.00 120.00
Space group R-3m (No. 166, hexagonal axes)
Asymmetric unit:
Cs 0.0000 0.0000 0.0000
Cs 0.0000 0.5000 0.0000
Ac 0.0000 0.5000 0.5000
Pa 0.0000 0.0000 0.5000
Te 0.0000 0.0000 0.2352
Te 0.0156 0.5078 0.2327

=====

Entry 6:
Starting from a DFT-relaxed cell (PBE, Alexandria), the powder XRD pattern of TiAl2CrP was simulated for a wavelength of 1.5418 Å.
Intensities are scaled so that the largest is 100.

Peak list (10 most intense, 10 to 80 degrees two-theta, sorted by position)
2θ = 19.4°, I = 28.4, (1 0 0)
2θ = 27.5°, I = 49.1, (1 1 0)
2θ = 28.7°, I = 70.4, (1 0 1)
2θ = 34.9°, I = 50.4, (1 1 1)
2θ = 39.3°, I = 100.0, (2 0 0)
2θ = 42.7°, I = 38.8, (0 0 2)
2θ = 49.4°, I = 27.9, (2 1 1)
2θ = 56.8°, I = 31.4, (2 2 0)
2θ = 59.4°, I = 54.3, (2 0 2)
2θ = 73.6°, I = 27.8, (2 2 2)

Structure:
a b c (Å): 4.583 4.583 4.235
angles (deg): 90.00 90.00 90.00
Space group P4/mmm (No. 123)
Asymmetric unit:
Ti 0.000 0.000 0.000
Al 0.000 0.500 0.500
Cr 0.500 0.500 0.500
P 0.500 0.500 0.000

=====

Entry 7:
Starting from a DFT-relaxed cell (PBE, Alexandria), the powder XRD pattern of Na4ReH6 was simulated for a wavelength of 1.5418 Å.
Intensities are scaled so that the largest is 100.

Peak list (10 most intense, 10 to 80 degrees two-theta, sorted by position)
2θ = 18.1°, I = 94.7, (0 0 2)
2θ = 18.7°, I = 100.0, (1 1 0)
2θ = 18.9°, I = 60.7, (1 1 -1)
2θ = 20.3°, I = 66.9, (2 0 0)
2θ = 21.1°, I = 58.1, (2 0 -2)
2θ = 23.1°, I = 46.2, (1 1 -2)
2θ = 32.5°, I = 87.4, (2 0 2)
2θ = 32.8°, I = 83.5, (3 1 -2)
2θ = 33.0°, I = 69.9, (0 2 1)
2θ = 37.5°, I = 58.4, (1 1 -4)

Structure:
a b c (Å): 9.569 5.641 10.704
angles (deg): 90.00 113.81 90.00
Space group Cc (No. 9)
Asymmetric unit:
Na 0.000 0.013 0.000
Na 0.098 0.410 0.400
Na 0.290 0.407 0.215
Na 0.390 0.015 0.615
Re 0.196 0.105 0.808
H 0.031 0.227 0.808
H 0.070 0.130 0.222
H 0.125 0.280 0.660
H 0.264 0.279 0.956
H 0.326 0.126 0.393
H 0.359 0.232 0.807

=====

Entry 8:
Starting from a DFT-relaxed cell (PBE, Alexandria), the powder XRD pattern of Pm2NbAl2Ru5 was simulated for a wavelength of 1.5418 Å.
Intensities are scaled so that the largest is 100.

Peak list (10 most intense, 10 to 80 degrees two-theta, sorted by position)
2θ = 33.4°, I = 45.5, (2 1 1)
2θ = 36.1°, I = 66.2, (4 1 0)
2θ = 36.8°, I = 23.0, (2 2 1)
2θ = 37.2°, I = 22.0, (3 3 0)
2θ = 38.9°, I = 100.0, (3 1 1)
2θ = 39.3°, I = 19.5, (4 2 0)
2θ = 41.9°, I = 23.4, (3 2 1)
2θ = 55.5°, I = 16.4, (0 0 2)
2θ = 64.7°, I = 12.8, (5 4 1)
2θ = 68.1°, I = 20.3, (4 1 2)

Structure:
a b c (Å): 10.251 10.251 3.310
angles (deg): 90.00 90.00 90.00
Space group P4/mbm (No. 127)
Asymmetric unit:
Pm 0.172 0.328 0.000
Nb 0.000 0.000 0.000
Al 0.126 0.626 0.000
Ru 0.000 0.500 0.500
Ru 0.066 0.801 0.500

=====

Repeat the second record exactly.
Starting from a DFT-relaxed cell (PBE, Alexandria), the powder XRD pattern of Cs2ZnCdF6 was simulated for a wavelength of 1.5418 Å.
Intensities are scaled so that the largest is 100.

Peak list (10 most intense, 10 to 80 degrees two-theta, sorted by position)
2θ = 17.4°, I = 1.6, (1 1 1)
2θ = 28.6°, I = 100.0, (2 2 0)
2θ = 33.7°, I = 1.7, (3 1 1)
2θ = 35.2°, I = 8.4, (2 2 2)
2θ = 40.9°, I = 35.7, (4 0 0)
2θ = 50.7°, I = 40.4, (4 2 2)
2θ = 59.2°, I = 22.1, (4 4 0)
2θ = 67.0°, I = 17.8, (6 2 0)
2θ = 70.8°, I = 2.5, (6 2 2)
2θ = 74.5°, I = 7.1, (4 4 4)

Structure:
a b c (Å): 8.828 8.828 8.828
angles (deg): 90.00 90.00 90.00
Space group Fm-3m (No. 225)
Asymmetric unit:
Cs 0.250 0.250 0.250
Zn 0.000 0.000 0.000
Cd 0.000 0.000 0.500
F 0.000 0.000 0.239